(1)
# Te
Theoretical X-ray diffraction stick pattern, Cu Kα. Input: a crystal structure in the Materials Project, relaxed with GGA-PBE.
Intensities are scaled so that the largest is 100.

The 8 most intense peaks (10° ≤ 2θ ≤ 90°), sorted by position:
2theta, I_rel
27.3, 100
38.0, 41
40.0, 27
49.1, 19
56.3, 13
62.3, 15
65.1, 11
81.2, 12

Crystal structure
Unit cell a=4.5124 b=4.5124 c=5.9599 alpha=90.00 beta=90.00 gamma=120.00
Sites, in units of the cell vectors:
Te1 0.0000 0.7310 0.1667
Te2 0.2690 0.2690 0.5000
Te3 0.7310 0.0000 0.8333


(2)
# MgTi2
Theoretical X-ray diffraction stick pattern, Cu Kα. Input: a crystal structure in the Materials Project, relaxed with GGA-PBE.
Intensities are scaled so that the largest is 100.

The 8 most intense peaks (10° ≤ 2θ ≤ 90°), sorted by position:
2theta, I_rel
35.2, 24
36.5, 29
39.8, 100
51.6, 15
63.1, 15
67.9, 18
75.1, 17
77.2, 12

Crystal structure
Unit cell a=7.8010 b=7.8010 c=4.9250 alpha=90.00 beta=90.00 gamma=158.23
Sites, in units of the cell vectors:
Mg1 0.1107 0.8893 0.7500
Mg2 0.8893 0.1107 0.2500
Ti1 0.2214 0.7786 0.2500
Ti2 0.4383 0.5617 0.7500
Ti3 0.5617 0.4383 0.2500
Ti4 0.7786 0.2214 0.7500


(3)
# Ba6In2NF
Theoretical X-ray diffraction stick pattern, Cu Kα. Input: a crystal structure in the Materials Project, relaxed with GGA-PBE.
Intensities are scaled so that the largest is 100.

The 8 most intense peaks (10° ≤ 2θ ≤ 90°), sorted by position:
2theta, I_rel
27.4, 100
31.8, 58
45.5, 42
54.0, 44
56.6, 14
73.2, 18
75.4, 18
84.1, 13

Crystal structure
Unit cell a=7.9706 b=7.9706 c=7.9706 alpha=60.00 beta=60.00 gamma=60.00
Sites, in units of the cell vectors:
Ba1 0.2417 0.2417 0.7583
Ba2 0.2417 0.7583 0.2417
Ba3 0.2417 0.7583 0.7583
Ba4 0.7583 0.2417 0.2417
Ba5 0.7583 0.2417 0.7583
Ba6 0.7583 0.7583 0.2417
In1 0.2500 0.2500 0.2500
In2 0.7500 0.7500 0.7500
N1 0.0000 0.0000 0.0000
F1 0.5000 0.5000 0.5000